Entry 1:
This entry pairs a crystal structure of Sn2BO4 with its computed X-ray powder pattern. Radiation: Cu Kα (λ = 1.5418 Å). Structure: a structure optimized by DFT (GGA-PBE).
Intensities are scaled so that the largest is 100.

The 10 most intense peaks (2θ from 10° to 90°), most intense first:
- 2θ 16.71, intensity 100
- 2θ 31.63, intensity 83
- 2θ 30.36, intensity 63
- 2θ 47.80, intensity 47
- 2θ 22.31, intensity 41
- 2θ 26.61, intensity 41
- 2θ 26.72, intensity 40
- 2θ 37.87, intensity 40
- 2θ 33.75, intensity 40
- 2θ 42.02, intensity 28

Structure:
```
7
Lattice="3.4112 -5.3054 0.0000 3.4112 5.3054 0.0000 -2.6963 0.0000 3.3500" Properties=species:S:1:pos:R:3 pbc="T T T"
Sn 3.4112 3.1785 0.0000
Sn 3.4112 -3.1785 0.0000
B 2.2706 0.0000 1.8368
O 1.2997 0.0000 1.0466
O 2.5055 2.8087 2.0352
O 3.2778 0.0000 2.6550
O 2.5055 -2.8087 2.0352
```

***

Entry 2:
This entry pairs a crystal structure of Pr3Os with its computed X-ray powder pattern. Radiation: Cu Kα (λ = 1.5418 Å). Structure: a structure optimized by DFT (GGA-PBE).
Intensities are scaled so that the largest is 100.

The 10 most intense peaks (2θ from 10° to 90°), most intense first:
- 2θ 36.15, intensity 100
- 2θ 33.40, intensity 82
- 2θ 29.13, intensity 55
- 2θ 34.53, intensity 46
- 2θ 30.10, intensity 45
- 2θ 33.68, intensity 31
- 2θ 55.96, intensity 28
- 2θ 38.26, intensity 23
- 2θ 20.04, intensity 20
- 2θ 40.73, intensity 19

Structure:
```
32
Lattice="11.9964 0.0000 0.0000 0.0000 11.9964 0.0000 0.0000 0.0000 6.5758" Properties=species:S:1:pos:R:3 pbc="T T T"
Pr 0.3666 7.1628 1.2760
Pr 1.1646 11.6298 4.5639
Pr 1.3330 8.0225 4.5526
Pr 1.4434 2.3094 0.1483
Pr 2.0243 10.6634 1.2648
Pr 2.3094 4.5548 3.1396
Pr 3.6888 1.4434 3.1396
Pr 3.9739 7.3311 1.2648
Pr 4.5548 3.6888 0.1483
Pr 4.6652 9.9721 4.5526
Pr 4.8336 6.3648 4.5639
Pr 5.6316 10.8318 1.2760
Pr 6.3648 1.1646 5.2998
Pr 7.1628 5.6316 2.0119
Pr 7.3311 2.0243 2.0231
Pr 7.4415 8.3076 6.4275
Pr 8.0225 4.6652 5.3110
Pr 8.3076 10.5530 3.4362
Pr 9.6869 7.4415 3.4362
Pr 9.9721 1.3330 5.3110
Pr 10.5530 9.6869 6.4275
Pr 10.6634 3.9739 2.0231
Pr 10.8318 0.3666 2.0119
Pr 11.6298 4.8336 5.2998
Os 0.6413 2.2173 3.3306
Os 2.2173 5.3569 6.5331
Os 3.7808 0.6413 6.5331
Os 5.3569 3.7808 3.3306
Os 6.6395 8.2155 3.2452
Os 8.2155 11.3551 0.0427
Os 9.7790 6.6395 0.0427
Os 11.3551 9.7790 3.2452
```

***

Entry 3:
This entry pairs a crystal structure of K5IrO4F2 with its computed X-ray powder pattern. Radiation: Cu Kα (λ = 1.5418 Å). Structure: a structure optimized by DFT (GGA-PBE).
Intensities are scaled so that the largest is 100.

The 10 most intense peaks (2θ from 10° to 90°), most intense first:
- 2θ 29.08, intensity 100
- 2θ 29.35, intensity 77
- 2θ 16.14, intensity 73
- 2θ 40.92, intensity 64
- 2θ 20.13, intensity 62
- 2θ 11.95, intensity 57
- 2θ 29.67, intensity 39
- 2θ 20.95, intensity 39
- 2θ 27.54, intensity 29
- 2θ 52.61, intensity 27

Structure:
```
12
Lattice="7.4081 0.0000 0.0000 0.0000 5.1708 3.2392 0.0000 -5.1708 3.2392" Properties=species:S:1:pos:R:3 pbc="T T T"
K 0.0000 0.0000 0.0000
K 1.9193 -1.9171 3.1313
K 1.9193 1.9171 3.1313
K 5.4887 -1.9171 3.1313
K 5.4887 1.9171 3.1313
Ir 3.7040 0.0000 6.3971
O 2.3843 0.0000 1.3123
O 3.7040 -1.4926 5.2988
O 3.7040 1.4926 5.2988
O 5.0237 0.0000 1.3123
F 0.0000 -2.0942 4.9020
F 0.0000 2.0942 4.9020
```

***

Entry 4:
This entry pairs a crystal structure of Na2GaTe5 with its computed X-ray powder pattern. Radiation: Cu Kα (λ = 1.5418 Å). Structure: a structure optimized by DFT (GGA-PBE).
Intensities are scaled so that the largest is 100.

The 10 most intense peaks (2θ from 10° to 90°), most intense first:
- 2θ 29.77, intensity 100
- 2θ 27.48, intensity 45
- 2θ 42.60, intensity 37
- 2θ 40.83, intensity 30
- 2θ 41.09, intensity 30
- 2θ 20.93, intensity 27
- 2θ 14.76, intensity 22
- 2θ 34.80, intensity 16
- 2θ 70.11, intensity 16
- 2θ 51.45, intensity 15

Structure:
```
8
Lattice="5.3215 -4.2444 0.0000 5.3215 4.2444 0.0000 -3.9153 0.0000 5.1773" Properties=species:S:1:pos:R:3 pbc="T T T"
Na 0.0000 0.0000 0.0000
Na 8.6850 0.0000 2.5885
Ga 4.1418 0.0000 1.5577
Te 2.7171 2.0582 0.0307
Te 2.7171 -2.0582 0.0307
Te 2.3653 0.0000 3.9121
Te 5.9782 2.0579 2.5430
Te 5.9782 -2.0579 2.5430
```